Record 1
Structure and theoretical PXRD pattern of MoWSe4 (a cell relaxed with GGA-PBE; a wavelength of 1.5418 Å).
Kinematic intensities with the Lorentz-polarization factor, no thermal factor.

The 10 most intense peaks (2θ = 10–90°), in order of rising 2θ:
2theta, d_spacing, I (rel.)
12.97, 6.827, 100
31.18, 2.868, 14
31.82, 2.812, 38
33.90, 2.644, 19
37.00, 2.430, 71
41.10, 2.196, 38
45.84, 1.980, 42
53.70, 1.707, 12
55.89, 1.645, 30
71.21, 1.324, 15

Crystal structure
Unit cell a=7.026 b=7.026 c=5.737 alpha=90.00 beta=90.00 gamma=152.67
Atoms (fractional coordinates):
Mo1 0.000 0.000 0.000
W1 0.500 0.500 0.498
Se1 0.123 0.877 0.665
Se2 0.377 0.623 0.165
Se3 0.623 0.377 0.165
Se4 0.877 0.123 0.665

Record 2
Structure and theoretical PXRD pattern of Hf3Au4 (a cell relaxed with GGA-PBE; a wavelength of 1.5418 Å).
Kinematic intensities with the Lorentz-polarization factor, no thermal factor.

The 10 most intense peaks (2θ = 10–90°), in order of rising 2θ:
2theta, d_spacing, I (rel.)
36.21, 2.481, 63
38.90, 2.315, 100
52.14, 1.754, 22
60.05, 1.541, 6
66.92, 1.398, 41
72.18, 1.309, 15
76.84, 1.241, 7
83.51, 1.158, 10
88.02, 1.110, 11
89.67, 1.093, 10

Crystal structure
Unit cell a=11.066 b=11.066 c=11.066 alpha=161.76 beta=161.76 gamma=25.91
Atoms (fractional coordinates):
Hf1 0.000 0.000 0.000
Hf2 0.293 0.293 0.000
Hf3 0.707 0.707 0.000
Au1 0.140 0.140 0.000
Au2 0.432 0.432 0.000
Au3 0.568 0.568 0.000
Au4 0.860 0.860 0.000